[1]
Li3VC3O9: theoretical powder XRD pattern (Cu Kα), based on DFT lattice parameters and positions (PBE+U).
Lines closer than 0.1° are merged.

Unit cell a=10.224 b=9.367 c=7.436 alpha=90.00 beta=90.00 gamma=90.00
Space group Ama2 (No. 40)
Inequivalent atoms, fractional coordinates:
1 Li 0.000 0.000 0.000 [4 per cell]
2 Li 0.250 0.020 0.272 [4 per cell]
3 Li 0.250 0.278 0.341 [4 per cell]
4 V 0.250 0.215 0.792 [4 per cell]
5 C 0.016 0.293 0.761 [8 per cell]
6 C 0.250 0.483 0.120 [4 per cell]
7 O 0.053 0.178 0.849 [8 per cell]
8 O 0.101 0.167 0.245 [8 per cell]
9 O 0.115 0.362 0.686 [8 per cell]
10 O 0.250 0.110 0.547 [4 per cell]
11 O 0.250 0.369 0.029 [4 per cell]
12 O 0.250 0.485 0.298 [4 per cell]

Largest 8 diffraction maxima, by angle, 2θ = 10–80°:
- hkl 2 0 0, 2θ = 17.3°, d = 5.112 Å, rel. 28
- hkl 1 1 1, 2θ = 17.5°, d = 5.060 Å, rel. 100
- hkl 0 2 0, 2θ = 18.9°, d = 4.684 Å, rel. 45
- hkl 2 1 1, 2θ = 23.2°, d = 3.842 Å, rel. 61
- hkl 0 0 2, 2θ = 23.9°, d = 3.718 Å, rel. 68
- hkl 0 2 2, 2θ = 30.7°, d = 2.912 Å, rel. 36
- hkl 4 1 1, 2θ = 38.5°, d = 2.340 Å, rel. 22
- hkl 2 4 2, 2θ = 49.3°, d = 1.848 Å, rel. 15

[2]
CaMo4O9: theoretical powder XRD pattern (Cu Kα), based on DFT lattice parameters and positions (PBE+U).
Lines closer than 0.1° are merged.

Unit cell a=8.804 b=8.804 c=5.079 alpha=90.00 beta=90.00 gamma=90.00
Space group P4/n (No. 85, origin choice 2)
Inequivalent atoms, fractional coordinates:
1 Ca 0.250 0.250 0.198 [2 per cell]
2 Mo 0.046 0.853 0.328 [8 per cell]
3 O 0.006 0.205 0.001 [8 per cell]
4 O 0.047 0.360 0.502 [8 per cell]
5 O 0.250 0.750 0.500 [2 per cell]

Largest 8 diffraction maxima, by angle, 2θ = 10–80°:
- hkl 0 0 1, 2θ = 17.5°, d = 5.079 Å, rel. 20
- hkl 1 2 1, 2θ = 28.7°, d = 3.112 Å, rel. 100
- hkl 3 1 0, 2θ = 32.2°, d = 2.784 Å, rel. 37
- hkl 1 2 2, 2θ = 42.4°, d = 2.134 Å, rel. 22
- hkl 2 4 0, 2θ = 46.1°, d = 1.969 Å, rel. 24
- hkl 3 1 2, 2θ = 48.5°, d = 1.876 Å, rel. 12
- hkl 5 0 1, 2θ = 55.2°, d = 1.664 Å, rel. 29
- hkl 3 1 3, 2θ = 64.4°, d = 1.447 Å, rel. 26

[3]
TiFe2Ni3P6O24: theoretical powder XRD pattern (Cu Kα), based on DFT lattice parameters and positions (PBE+U).
Lines closer than 0.1° are merged.

Unit cell a=8.6544 b=8.6544 c=20.3268 alpha=90.00 beta=90.00 gamma=120.00
Space group R3 (No. 146, hexagonal axes)
Inequivalent atoms, fractional coordinates:
1 Ti 0.0000 0.0000 0.0000 [3 per cell]
2 Fe 0.0000 0.0000 0.1493 [3 per cell]
3 Fe 0.0000 0.0000 0.6482 [3 per cell]
4 Ni 0.0000 0.0000 0.2918 [3 per cell]
5 Ni 0.0000 0.0000 0.5047 [3 per cell]
6 Ni 0.0000 0.0000 0.7901 [3 per cell]
7 P 0.9996 0.2995 0.8960 [9 per cell]
8 P 0.0011 0.6999 0.3969 [9 per cell]
9 O 0.0037 0.8325 0.0734 [9 per cell]
10 O 0.0133 0.1820 0.5802 [9 per cell]
11 O 0.0128 0.8007 0.4599 [9 per cell]
12 O 0.0232 0.1993 0.9556 [9 per cell]
13 O 0.1414 0.6828 0.0034 [9 per cell]
14 O 0.1418 0.4499 0.5008 [9 per cell]
15 O 0.1619 0.6690 0.3845 [9 per cell]
16 O 0.1650 0.4883 0.8857 [9 per cell]

Largest 8 diffraction maxima, by angle, 2θ = 10–80°:
- hkl 1 1 0, 2θ = 20.5°, d = 4.327 Å, rel. 90
- hkl 2 -1 3, 2θ = 24.4°, d = 3.647 Å, rel. 100
- hkl 1 1 6, 2θ = 33.6°, d = 2.668 Å, rel. 71
- hkl 3 0 0, 2θ = 35.9°, d = 2.498 Å, rel. 44
- hkl 1 2 8, 2θ = 48.1°, d = 1.891 Å, rel. 32
- hkl 2 2 6, 2θ = 50.0°, d = 1.823 Å, rel. 29
- hkl 4 1 0, 2θ = 56.2°, d = 1.636 Å, rel. 24
- hkl 4 1 6, 2θ = 63.1°, d = 1.473 Å, rel. 23

[4]
Li2FeSi4O11: theoretical powder XRD pattern (Cu Kα), based on DFT lattice parameters and positions (PBE+U).
Lines closer than 0.1° are merged.

Unit cell a=10.673 b=10.673 c=7.750 alpha=90.00 beta=90.00 gamma=90.00
Space group I4/m (No. 87)
Inequivalent atoms, fractional coordinates:
1 Li 0.122 0.843 0.000 [8 per cell]
2 Fe 0.000 0.000 0.259 [4 per cell]
3 Si 0.018 0.305 0.304 [16 per cell]
4 O 0.000 0.000 0.000 [2 per cell]
5 O 0.000 0.000 0.500 [2 per cell]
6 O 0.035 0.712 0.500 [8 per cell]
7 O 0.064 0.175 0.217 [16 per cell]
8 O 0.096 0.636 0.188 [16 per cell]

Largest 8 diffraction maxima, by angle, 2θ = 10–80°:
- hkl 2 0 0, 2θ = 16.6°, d = 5.336 Å, rel. 100
- hkl 2 1 1, 2θ = 21.9°, d = 4.064 Å, rel. 22
- hkl 0 0 2, 2θ = 23.0°, d = 3.875 Å, rel. 96
- hkl 2 2 0, 2θ = 23.6°, d = 3.773 Å, rel. 23
- hkl 1 3 0, 2θ = 26.4°, d = 3.375 Å, rel. 88
- hkl 3 0 1, 2θ = 27.6°, d = 3.233 Å, rel. 27
- hkl 1 3 2, 2θ = 35.3°, d = 2.545 Å, rel. 37
- hkl 3 3 0, 2θ = 35.7°, d = 2.516 Å, rel. 35

[5]
Eu2FeWO6: theoretical powder XRD pattern (Cu Kα), based on DFT lattice parameters and positions (PBE+U).
Lines closer than 0.1° are merged.

Unit cell a=8.010 b=8.010 c=8.010 alpha=90.00 beta=90.00 gamma=90.00
Space group Fm-3m (No. 225)
Inequivalent atoms, fractional coordinates:
1 Eu 0.250 0.250 0.250 [8 per cell]
2 Fe 0.000 0.000 0.000 [4 per cell]
3 W 0.000 0.000 0.500 [4 per cell]
4 O 0.000 0.000 0.253 [24 per cell]

Largest 8 diffraction maxima, by angle, 2θ = 10–80°:
- hkl 1 1 1, 2θ = 19.2°, d = 4.624 Å, rel. 13
- hkl 2 2 0, 2θ = 31.6°, d = 2.832 Å, rel. 100
- hkl 3 1 1, 2θ = 37.2°, d = 2.415 Å, rel. 7
- hkl 2 2 2, 2θ = 39.0°, d = 2.312 Å, rel. 4
- hkl 4 0 0, 2θ = 45.3°, d = 2.002 Å, rel. 29
- hkl 4 2 2, 2θ = 56.3°, d = 1.635 Å, rel. 40
- hkl 4 4 0, 2θ = 66.0°, d = 1.416 Å, rel. 18
- hkl 6 2 0, 2θ = 75.0°, d = 1.266 Å, rel. 17

[6]
MgVO3: theoretical powder XRD pattern (Cu Kα), based on DFT lattice parameters and positions (PBE+U).
Lines closer than 0.1° are merged.

Unit cell a=5.210 b=10.401 c=5.342 alpha=90.00 beta=90.00 gamma=90.00
Space group Cmmm (No. 65)
Inequivalent atoms, fractional coordinates:
1 Mg 0.000 0.174 0.000 [4 per cell]
2 V 0.000 0.325 0.500 [4 per cell]
3 O 0.000 0.000 0.000 [2 per cell]
4 O 0.000 0.500 0.500 [2 per cell]
5 O 0.250 0.250 0.271 [8 per cell]

Largest 8 diffraction maxima, by angle, 2θ = 10–80°:
- hkl 0 0 1, 2θ = 16.6°, d = 5.342 Å, rel. 23
- hkl 0 2 0, 2θ = 17.0°, d = 5.201 Å, rel. 95
- hkl 1 1 1, 2θ = 25.4°, d = 3.511 Å, rel. 100
- hkl 0 0 2, 2θ = 33.6°, d = 2.671 Å, rel. 16
- hkl 2 0 0, 2θ = 34.4°, d = 2.604 Å, rel. 17
- hkl 1 3 1, 2θ = 35.3°, d = 2.539 Å, rel. 50
- hkl 2 0 2, 2θ = 48.8°, d = 1.865 Å, rel. 44
- hkl 1 5 1, 2θ = 50.2°, d = 1.817 Å, rel. 23

[7]
Li5FeO4: theoretical powder XRD pattern (Cu Kα), based on DFT lattice parameters and positions (PBE+U).
Lines closer than 0.1° are merged.

Unit cell a=8.562 b=9.563 c=5.245 alpha=90.00 beta=105.50 gamma=90.00
Space group P2_1/c (No. 14)
Inequivalent atoms, fractional coordinates:
1 Li 0.037 0.197 0.380 [4 per cell]
2 Li 0.155 0.074 0.925 [4 per cell]
3 Li 0.348 0.679 0.498 [4 per cell]
4 Li 0.358 0.187 0.658 [4 per cell]
5 Li 0.461 0.045 0.250 [4 per cell]
6 Fe 0.232 0.547 0.943 [4 per cell]
7 O 0.034 0.637 0.820 [4 per cell]
8 O 0.241 0.137 0.288 [4 per cell]
9 O 0.324 0.505 0.311 [4 per cell]
10 O 0.411 0.648 0.872 [4 per cell]

Largest 8 diffraction maxima, by angle, 2θ = 10–80°:
- hkl 0 2 0, 2θ = 18.6°, d = 4.781 Å, rel. 50
- hkl 0 1 1, 2θ = 19.9°, d = 4.469 Å, rel. 100
- hkl 2 0 0, 2θ = 21.5°, d = 4.125 Å, rel. 42
- hkl 2 1 -1, 2θ = 25.7°, d = 3.468 Å, rel. 54
- hkl 1 2 -1, 2θ = 25.9°, d = 3.435 Å, rel. 22
- hkl 2 2 0, 2θ = 28.6°, d = 3.123 Å, rel. 43
- hkl 1 4 -1, 2θ = 42.0°, d = 2.152 Å, rel. 23
- hkl 4 1 -1, 2θ = 43.8°, d = 2.068 Å, rel. 27

[8]
CdMoO2: theoretical powder XRD pattern (Cu Kα), based on DFT lattice parameters and positions (PBE+U).
Lines closer than 0.1° are merged.

Unit cell a=6.512 b=6.512 c=10.879 alpha=90.00 beta=90.00 gamma=90.00
Space group I4_1/amd (No. 141, origin choice 2)
Inequivalent atoms, fractional coordinates:
1 Cd 0.000 0.000 0.000 [8 per cell]
2 Mo 0.000 0.000 0.500 [8 per cell]
3 O 0.000 0.026 0.214 [16 per cell]

Largest 8 diffraction maxima, by angle, 2θ = 10–80°:
- hkl 2 0 2, 2θ = 32.0°, d = 2.794 Å, rel. 100
- hkl 0 0 4, 2θ = 32.9°, d = 2.720 Å, rel. 38
- hkl 2 2 0, 2θ = 39.1°, d = 2.302 Å, rel. 51
- hkl 2 2 4, 2θ = 52.0°, d = 1.757 Å, rel. 38
- hkl 4 0 0, 2θ = 56.5°, d = 1.628 Å, rel. 16
- hkl 2 0 6, 2θ = 58.2°, d = 1.584 Å, rel. 22
- hkl 4 2 2, 2θ = 66.5°, d = 1.407 Å, rel. 25
- hkl 4 0 4, 2θ = 67.0°, d = 1.397 Å, rel. 17

Please write out number 6 again, unchanged.
MgVO3: theoretical powder XRD pattern (Cu Kα), based on DFT lattice parameters and positions (PBE+U).
Lines closer than 0.1° are merged.

Unit cell a=5.210 b=10.401 c=5.342 alpha=90.00 beta=90.00 gamma=90.00
Space group Cmmm (No. 65)
Inequivalent atoms, fractional coordinates:
1 Mg 0.000 0.174 0.000 [4 per cell]
2 V 0.000 0.325 0.500 [4 per cell]
3 O 0.000 0.000 0.000 [2 per cell]
4 O 0.000 0.500 0.500 [2 per cell]
5 O 0.250 0.250 0.271 [8 per cell]

Largest 8 diffraction maxima, by angle, 2θ = 10–80°:
- hkl 0 0 1, 2θ = 16.6°, d = 5.342 Å, rel. 23
- hkl 0 2 0, 2θ = 17.0°, d = 5.201 Å, rel. 95
- hkl 1 1 1, 2θ = 25.4°, d = 3.511 Å, rel. 100
- hkl 0 0 2, 2θ = 33.6°, d = 2.671 Å, rel. 16
- hkl 2 0 0, 2θ = 34.4°, d = 2.604 Å, rel. 17
- hkl 1 3 1, 2θ = 35.3°, d = 2.539 Å, rel. 50
- hkl 2 0 2, 2θ = 48.8°, d = 1.865 Å, rel. 44
- hkl 1 5 1, 2θ = 50.2°, d = 1.817 Å, rel. 23

Question: Number 4 is which compound?
Answer: Li2FeSi4O11